For Te2Ru, DFT lattice parameters and positions (PBE) gives the theoretical X-ray diffraction stick pattern in this record (a wavelength of 1.5418 Å).
No peak broadening, texture or thermal motion is included.

Atomic structure:
```
data_Te2Ru
_cell_length_a 5.348
_cell_length_b 6.468
_cell_length_c 4.070
_cell_angle_alpha 90.00
_cell_angle_beta 90.00
_cell_angle_gamma 90.00
_space_group_name_H-M_alt 'P n n m'
_space_group_IT_number 58
_space_group_name_Hall '-P 2 2n'
loop_
_atom_site_label
_atom_site_type_symbol
_atom_site_fract_x
_atom_site_fract_y
_atom_site_fract_z
Te1 Te 0.221 0.134 0.000
Ru1 Ru 0.000 0.500 0.000
```

Top 10 peaks for 2θ from 10° to 90°, low angle first:
- (1 1 0), 21.56 deg, I = 210
- (1 0 1), 27.55 deg, I = 509
- (1 1 1), 30.88 deg, I = 1000
- (1 2 0), 32.35 deg, I = 788
- (2 1 1), 42.81 deg, I = 820
- (0 0 2), 44.52 deg, I = 338
- (0 3 1), 47.74 deg, I = 414
- (1 2 2), 56.10 deg, I = 324
- (2 4 0), 67.72 deg, I = 168
- (2 4 2), 84.72 deg, I = 183